No. 1
Diffraction record for Tm5Zn2Pd12. The powder X-ray diffraction pattern is computed, not measured: it uses a DFT-relaxed cell (GGA-PBE, Alexandria) and λ = 1.5418 Å (Cu Kα).

Peak list (12 most intense, 2θ from 10° to 90°, in order of rising 2θ)
2theta	Rel. int.	(hkl)
31.0	28	3 1 -2
35.0	95	0 2 2
35.7	75	2 2 -2
36.4	38	5 1 0
37.1	52	4 2 0
37.2	33	4 2 -1
37.3	100	3 1 2
40.5	90	6 0 -1
40.6	29	4 0 2
43.0	59	3 3 0
44.9	26	1 3 -2
49.9	26	0 0 4

Cell and atoms:
Cell: 13.417 7.207 7.467 Å, 90.00 101.97 90.00°
Space group C2/m (No. 12)
Inequivalent atoms, fractional coordinates:
1 Tm 0.000 0.000 0.000 (multiplicity 2)
2 Tm 0.194 0.500 0.976 (multiplicity 4)
3 Tm 0.218 0.500 0.477 (multiplicity 4)
4 Zn 0.000 0.322 0.500 (multiplicity 4)
5 Pd 0.022 0.500 0.199 (multiplicity 4)
6 Pd 0.065 0.000 0.394 (multiplicity 4)
7 Pd 0.128 0.188 0.764 (multiplicity 8)
8 Pd 0.172 0.207 0.205 (multiplicity 8)

No. 2
Diffraction record for Tm3Zn2Pd8. The powder X-ray diffraction pattern is computed, not measured: it uses a DFT-relaxed cell (GGA-PBE, Alexandria) and λ = 1.5418 Å (Cu Kα).

Peak list (12 most intense, 2θ from 10° to 90°, in order of rising 2θ)
2theta	Rel. int.	(hkl)
24.5	21	0 1 5
33.3	74	1 1 0
36.6	47	1 0 10
38.3	65	1 1 6
39.2	96	2 0 2
39.4	100	0 1 11
40.7	60	0 2 4
41.8	53	2 0 5
43.9	20	1 1 9
63.6	47	1 2 11
69.9	46	2 2 0
83.3	22	3 1 11

Cell and atoms:
Cell: 5.3803 5.3803 28.9121 Å, 90.00 90.00 120.00°
Space group R-3m (No. 166, hexagonal axes)
Inequivalent atoms, fractional coordinates:
1 Tm 0.0000 0.0000 0.0000 (multiplicity 3)
2 Tm 0.0000 0.0000 0.1905 (multiplicity 6)
3 Zn 0.0000 0.0000 0.3676 (multiplicity 6)
4 Pd 0.0000 0.0000 0.2846 (multiplicity 6)
5 Pd 0.0032 0.5016 0.7697 (multiplicity 18)

No. 3
Diffraction record for Tm5Zn4Pd. The powder X-ray diffraction pattern is computed, not measured: it uses a DFT-relaxed cell (GGA-PBE, Alexandria) and λ = 1.5418 Å (Cu Kα).

Peak list (12 most intense, 2θ from 10° to 90°, in order of rising 2θ)
2theta	Rel. int.	(hkl)
25.3	16	1 0 0
25.6	8	0 0 5
36.1	51	1 1 0
36.3	100	1 0 5
51.9	18	2 0 0
52.7	8	0 0 10
65.0	36	2 1 5
65.5	17	1 1 10
77.2	11	2 0 10
87.6	8	3 1 0
87.8	8	3 0 5
89.0	8	1 0 15

Cell and atoms:
Cell: 3.521 3.521 17.365 Å, 90.00 90.00 90.00°
Space group P4/mmm (No. 123)
Inequivalent atoms, fractional coordinates:
1 Tm 0.000 0.000 0.000 (multiplicity 1)
2 Tm 0.000 0.000 0.202 (multiplicity 2)
3 Tm 0.000 0.000 0.403 (multiplicity 2)
4 Zn 0.500 0.500 0.102 (multiplicity 2)
5 Zn 0.500 0.500 0.301 (multiplicity 2)
6 Pd 0.500 0.500 0.500 (multiplicity 1)

No. 4
Diffraction record for Tm2Zn16Pd. The powder X-ray diffraction pattern is computed, not measured: it uses a DFT-relaxed cell (GGA-PBE, Alexandria) and λ = 1.5418 Å (Cu Kα).

Peak list (12 most intense, 2θ from 10° to 90°, in order of rising 2θ)
2theta	Rel. int.	(hkl)
28.6	29	1 1 3
34.8	47	3 0 0
35.9	31	0 2 4
40.4	68	2 2 0
40.6	100	0 3 3
41.4	50	0 0 6
41.6	26	2 0 5
45.6	27	2 2 3
58.6	18	4 1 3
59.2	23	2 2 6
73.4	20	6 0 0
74.9	24	0 3 9

Cell and atoms:
Cell: 8.9390 8.9390 13.0998 Å, 90.00 90.00 120.00°
Space group R3m (No. 160, hexagonal axes)
Inequivalent atoms, fractional coordinates:
1 Tm 0.0000 0.0000 0.0000 (multiplicity 3)
2 Tm 0.0000 0.0000 0.3288 (multiplicity 3)
3 Zn 0.0000 0.0000 0.7662 (multiplicity 3)
4 Zn 0.9996 0.2946 0.6609 (multiplicity 18)
5 Zn 0.0023 0.5011 0.1614 (multiplicity 9)
6 Zn 0.0060 0.5030 0.8125 (multiplicity 9)
7 Zn 0.1734 0.3467 0.8447 (multiplicity 9)
8 Pd 0.0000 0.0000 0.5625 (multiplicity 3)

No. 5
Diffraction record for Tm3Zn3Pd2. The powder X-ray diffraction pattern is computed, not measured: it uses a DFT-relaxed cell (GGA-PBE, Alexandria) and λ = 1.5418 Å (Cu Kα).

Peak list (12 most intense, 2θ from 10° to 90°, in order of rising 2θ)
2theta	Rel. int.	(hkl)
14.3	18	1 0 0
24.9	17	1 1 0
34.9	100	1 1 1
37.9	46	2 0 1
38.4	42	2 1 0
43.8	16	3 0 0
49.3	15	0 0 2
53.2	16	3 1 0
59.2	23	3 1 1
64.1	18	2 1 2
71.0	13	3 2 1
75.5	11	3 1 2

Cell and atoms:
Cell: 7.1638 7.1638 3.6973 Å, 90.00 90.00 120.00°
Space group P-62m (No. 189)
Inequivalent atoms, fractional coordinates:
1 Tm 0.0000 0.5961 0.0000 (multiplicity 3)
2 Zn 0.0000 0.2260 0.5000 (multiplicity 3)
3 Pd 0.3333 0.6667 0.5000 (multiplicity 2)

No. 6
Diffraction record for TmZrPd4. The powder X-ray diffraction pattern is computed, not measured: it uses a DFT-relaxed cell (GGA-PBE, Alexandria) and λ = 1.5418 Å (Cu Kα).

Peak list (12 most intense, 2θ from 10° to 90°, in order of rising 2θ)
2theta	Rel. int.	(hkl)
37.6	100	1 3 2
42.3	16	0 6 0
43.0	4	1 5 1
43.7	17	2 0 0
45.0	15	0 0 4
62.4	10	2 6 0
63.5	9	0 6 4
64.5	10	2 0 4
74.3	9	1 9 2
76.2	12	3 3 2
78.1	10	1 3 6
80.2	9	2 6 4

Cell and atoms:
Cell: 4.145 12.813 8.059 Å, 90.00 90.00 90.00°
Space group Cmcm (No. 63)
Inequivalent atoms, fractional coordinates:
1 Tm 0.000 0.016 0.250 (multiplicity 4)
2 Zr 0.000 0.310 0.250 (multiplicity 4)
3 Pd 0.000 0.166 0.516 (multiplicity 8)
4 Pd 0.000 0.334 0.750 (multiplicity 4)
5 Pd 0.000 0.500 0.000 (multiplicity 4)